Diffraction record for CaCr4S8. The powder diffraction line list is computed, not measured: it uses the GGA-PBE geometry in the Materials Project and copper Kα.

Crystal structure
```
CaCr4S8
1.0
3.598 2.077 5.729
-3.598 2.077 5.729
0.000 -4.154 5.729
Ca Cr S
1 4 8
Cartesian
0.000 0.000 0.000 Ca
-1.799 -1.039 5.729 Cr
-1.799 1.039 11.458 Cr
0.000 2.077 5.729 Cr
0.000 0.000 8.593 Cr
0.000 0.000 4.509 S
0.000 -1.855 7.130 S
-1.606 0.927 7.130 S
-1.606 -0.927 10.057 S
1.606 0.927 7.130 S
1.606 -0.927 10.057 S
0.000 1.855 10.057 S
0.000 0.000 12.678 S
```

Principal peaks in the range 2θ from 10° to 80°, sorted by position:
d/Å  two_theta  Rel. int.
5.858  15.12  35
5.729  15.47  33
2.522  35.59  100
1.799  50.75  30
1.769  51.68  29
1.465  63.52  14

***

Diffraction record for CaCr2S4. The powder diffraction line list is computed, not measured: it uses the GGA-PBE geometry in the Materials Project and copper Kα.

Crystal structure
```
CaCr2S4
1.0
-3.643 3.729 5.102
3.643 -3.729 5.102
3.643 3.729 -5.102
Ca Cr S
2 4 8
Cartesian
0.000 0.000 0.000 Ca
0.000 3.729 0.000 Ca
3.643 0.000 0.000 Cr
-1.821 1.864 2.551 Cr
0.000 0.000 5.102 Cr
1.821 1.864 2.551 Cr
2.050 1.864 0.117 S
5.236 1.864 0.117 S
3.643 0.226 2.393 S
0.000 0.226 2.709 S
3.643 3.503 2.393 S
0.000 3.503 2.709 S
-1.593 1.864 4.986 S
1.593 1.864 4.986 S
```

Principal peaks in the range 2θ from 10° to 80°, sorted by position:
d/Å  two_theta  Rel. int.
6.021  14.71  61
2.606  34.42  100
2.551  35.18  48
1.864  48.85  16
1.823  50.04  73
1.505  61.61  14

***

Diffraction record for CaCr4S8. The powder diffraction line list is computed, not measured: it uses the GGA-PBE geometry in the Materials Project and copper Kα.

Crystal structure
```
CaCr4S8
1.0
3.437 1.984 6.614
-3.437 1.984 6.614
0.000 -3.968 6.614
Ca Cr S
1 4 8
Cartesian
0.000 0.000 0.000 Ca
-3.437 0.000 9.921 Cr
-1.718 0.992 3.307 Cr
1.718 0.992 3.307 Cr
0.000 0.000 9.921 Cr
0.000 0.000 4.615 S
-1.697 -0.980 11.251 S
0.000 -1.960 8.592 S
-1.697 0.980 8.592 S
1.697 -0.980 11.251 S
0.000 1.960 11.251 S
1.697 0.980 8.592 S
0.000 0.000 15.227 S
```

Principal peaks in the range 2θ from 10° to 80°, sorted by position:
d/Å  two_theta  Rel. int.
6.614  13.39  100
2.552  35.16  97
2.053  44.12  24
1.905  47.73  28
1.718  53.31  28
1.425  65.48  13

***

Diffraction record for CaCr2S4. The powder diffraction line list is computed, not measured: it uses the GGA-PBE geometry in the Materials Project and copper Kα.

Crystal structure
```
CaCr2S4
1.0
-3.662 3.732 5.203
3.662 -3.732 5.203
3.662 3.732 -5.203
Ca Cr S
2 4 8
Cartesian
0.000 0.000 0.000 Ca
0.000 3.732 0.000 Ca
1.831 1.866 -2.601 Cr
1.831 -1.866 2.601 Cr
3.662 1.866 1.326 Cr
0.000 1.866 3.876 Cr
3.662 -0.184 2.464 S
1.959 1.866 -0.166 S
5.365 1.866 -0.166 S
3.662 3.549 -2.464 S
0.000 0.184 7.667 S
-1.703 1.866 5.369 S
1.703 1.866 5.369 S
0.000 3.916 2.739 S
```

Principal peaks in the range 2θ from 10° to 80°, sorted by position:
d/Å  two_theta  Rel. int.
3.168  28.17  45
3.137  28.45  100
2.614  34.31  56
2.601  34.48  26
2.019  44.89  29
1.844  49.43  89

***

Diffraction record for CaCr2S4. The powder diffraction line list is computed, not measured: it uses the GGA-PBE geometry in the Materials Project and copper Kα.

Crystal structure
```
CaCr2S4
1.0
-3.670 3.670 5.465
3.670 -3.670 5.465
3.670 3.670 -5.465
Ca Cr S
2 4 8
Cartesian
3.670 1.835 1.366 Ca
0.000 1.835 4.099 Ca
0.000 0.000 0.000 Cr
1.835 1.835 -2.733 Cr
1.835 -1.835 2.733 Cr
0.000 3.670 0.000 Cr
3.670 3.439 -3.018 S
1.604 1.835 -0.285 S
2.066 -1.835 5.180 S
3.670 -0.231 3.018 S
0.000 3.902 2.447 S
1.604 5.506 0.285 S
2.066 1.835 5.750 S
0.000 0.231 8.483 S
```

Principal peaks in the range 2θ from 10° to 80°, sorted by position:
d/Å  two_theta  Rel. int.
6.094  14.54  93
3.144  28.39  100
2.595  34.56  77
2.002  45.31  64
1.882  48.37  93
1.835  49.68  48

***

Diffraction record for CaCr2S4. The powder diffraction line list is computed, not measured: it uses the GGA-PBE geometry in the Materials Project and copper Kα.

Crystal structure
```
CaCr2S4
1.0
0.000 5.278 5.278
5.278 0.000 5.278
5.278 5.278 0.000
Ca Cr S
2 4 8
Cartesian
1.319 1.319 1.319 Ca
9.236 9.236 9.236 Ca
5.278 2.639 2.639 Cr
2.639 5.278 2.639 Cr
2.639 2.639 5.278 Cr
5.278 5.278 5.278 Cr
2.843 2.843 2.843 S
5.074 5.074 2.843 S
5.074 2.843 5.074 S
7.713 5.482 5.482 S
2.843 5.074 5.074 S
5.482 7.713 5.482 S
5.482 5.482 7.713 S
7.713 7.713 7.713 S
```

Principal peaks in the range 2θ from 10° to 80°, sorted by position:
d/Å  two_theta  Rel. int.
6.094  14.53  66
3.732  23.84  32
3.183  28.04  93
2.639  33.97  81
2.031  44.60  76
1.866  48.80  100